The following is a calculated X-ray diffraction stick pattern of Nd2GaNiI2. It was derived from DFT lattice parameters and positions (GGA-PBE), using Cu Kα, 1.54184 Å.
Lines closer than 0.1° are merged.

Peak list (12 most intense, 10 to 80 degrees two-theta, low angle first)
hkl 0 1 1, 25.32 deg, d = 3.517 Å, rel. 48.6; hkl 0 1 2, 28.32 deg, d = 3.152 Å, rel. 33.6; hkl 0 1 3, 32.75 deg, d = 2.734 Å, rel. 100.0; hkl 1 0 4, 38.19 deg, d = 2.357 Å, rel. 20.7; hkl 1 1 0, 42.67 deg, d = 2.119 Å, rel. 47.9; hkl 0 0 6, 44.19 deg, d = 2.049 Å, rel. 13.7; hkl 1 0 5, 44.34 deg, d = 2.043 Å, rel. 8.3; hkl 2 0 3, 54.81 deg, d = 1.675 Å, rel. 22.8; hkl 1 1 6, 63.11 deg, d = 1.473 Å, rel. 27.9; hkl 1 2 3, 71.84 deg, d = 1.314 Å, rel. 20.1; hkl 0 1 9, 74.04 deg, d = 1.280 Å, rel. 8.0; hkl 3 0 0, 78.11 deg, d = 1.224 Å, rel. 7.9

Atomic structure:
Unit cell a=4.2384 b=4.2384 c=12.2965 alpha=90.00 beta=90.00 gamma=120.00
Sites, in units of the cell vectors:
Nd1 0.0000 0.0000 0.0000
Nd2 0.0000 0.0000 0.3153
Ga1 0.3333 0.6667 0.1551
Ni1 0.6667 0.3333 0.1622
I1 0.3333 0.6667 0.4922
I2 0.6667 0.3333 0.8250